1.
For YScHg6, the GGA-PBE geometry in OQMD gives the computed powder XRD pattern in this record (a wavelength of 1.5418 Å).

Most intense lines, 5 to 70 degrees two-theta, low angle first:
- 2θ 23.87, intensity 12
- 2θ 27.29, intensity 5
- 2θ 31.61, intensity 25
- 2θ 36.26, intensity 23
- 2θ 36.56, intensity 100
- 2θ 48.86, intensity 15
- 2θ 56.30, intensity 19
- 2θ 65.43, intensity 19
- 2θ 68.83, intensity 21
- 2θ 69.02, intensity 16

Structure:
```
YScHg6
1.0
6.5360 0.0000 0.0000
-3.2680 5.6603 0.0000
0.0000 0.0000 4.9549
Y Sc Hg
1 1 6
Direct
0.0000 0.0000 0.0000 Y
0.3333 0.6667 0.5000 Sc
0.0089 0.5044 0.0000 Hg
0.3367 0.1683 0.5000 Hg
0.4956 0.5044 0.0000 Hg
0.4956 0.9911 0.0000 Hg
0.8317 0.1683 0.5000 Hg
0.8317 0.6633 0.5000 Hg
```


2.
For HgSe, the GGA-PBE geometry in OQMD gives the computed powder XRD pattern in this record (a wavelength of 1.5418 Å).

Most intense lines, 5 to 70 degrees two-theta, low angle first:
- 2θ 26.73, intensity 37
- 2θ 30.95, intensity 100
- 2θ 37.02, intensity 1
- 2θ 44.34, intensity 74
- 2θ 45.35, intensity 2
- 2θ 52.51, intensity 14
- 2θ 52.58, intensity 6
- 2θ 54.94, intensity 7
- 2θ 55.10, intensity 19
- 2θ 64.51, intensity 12

Structure:
```
HgSe
1.0
4.0813 0.0000 0.0000
-2.0406 3.5345 0.0000
0.0000 0.0000 10.0281
Hg Se
3 3
Direct
0.0000 0.3504 0.1667 Hg
0.3504 0.0000 0.8333 Hg
0.6496 0.6496 0.5000 Hg
0.0000 0.2889 0.6667 Se
0.2889 0.0000 0.3333 Se
0.7111 0.7111 0.0000 Se
```


3.
For HgSe, the GGA-PBE geometry in OQMD gives the computed powder XRD pattern in this record (a wavelength of 1.5418 Å).

Most intense lines, 5 to 70 degrees two-theta, low angle first:
- 2θ 24.80, intensity 100
- 2θ 28.71, intensity 16
- 2θ 41.05, intensity 68
- 2θ 48.55, intensity 50
- 2θ 50.86, intensity 5
- 2θ 59.45, intensity 12
- 2θ 65.41, intensity 21
- 2θ 67.33, intensity 6

Structure:
```
HgSe
1.0
0.0000 3.1097 3.1097
3.1097 0.0000 3.1097
3.1097 3.1097 0.0000
Hg Se
1 1
Direct
0.0000 0.0000 0.0000 Hg
0.7500 0.7500 0.7500 Se
```